No. 1
Diffraction record for Ho2ReB6. The XRD peak list is computed, not measured: it uses DFT lattice parameters and positions (PBE) and copper Kα.
Peak positions follow from Bragg's law for the DFT cell and can differ from measured ones.

Crystal structure
Unit cell a=9.1592 b=11.5448 c=3.6677 alpha=90.00 beta=90.00 gamma=90.00
Fractional positions:
Ho 0.0564 0.1300 0.0000
Ho 0.1759 0.4139 0.0000
Ho 0.3241 0.9139 0.0000
Ho 0.4436 0.6300 0.0000
Ho 0.5564 0.3700 0.0000
Ho 0.6759 0.0861 0.0000
Ho 0.8241 0.5861 0.0000
Ho 0.9436 0.8700 0.0000
Re 0.1387 0.6790 0.0000
Re 0.3613 0.1790 0.0000
Re 0.6387 0.8210 0.0000
Re 0.8613 0.3210 0.0000
B 0.0172 0.2878 0.5000
B 0.0534 0.5670 0.5000
B 0.1002 0.9720 0.5000
B 0.1316 0.8144 0.5000
B 0.2072 0.2341 0.5000
B 0.2501 0.0807 0.5000
B 0.2499 0.5807 0.5000
B 0.2928 0.7341 0.5000
B 0.3684 0.3144 0.5000
B 0.3998 0.4720 0.5000
B 0.4466 0.0670 0.5000
B 0.4828 0.7878 0.5000
B 0.5172 0.2122 0.5000
B 0.5534 0.9330 0.5000
B 0.6002 0.5280 0.5000
B 0.6316 0.6856 0.5000
B 0.7072 0.2659 0.5000
B 0.7501 0.4193 0.5000
B 0.7499 0.9193 0.5000
B 0.7928 0.7659 0.5000
B 0.8684 0.1856 0.5000
B 0.8998 0.0280 0.5000
B 0.9466 0.4330 0.5000
B 0.9828 0.7122 0.5000

Largest 10 diffraction maxima, sorted by position, 15° ≤ 2θ ≤ 90°:
two_theta	d [Å]	I_rel
24.27	3.668	100
30.31	2.949	64
30.98	2.886	20
32.53	2.753	30
33.20	2.699	23
39.20	2.298	77
39.74	2.268	25
40.99	2.202	38
41.54	2.174	29
49.72	1.834	22

No. 2
Diffraction record for PrSbO4. The XRD peak list is computed, not measured: it uses DFT lattice parameters and positions (PBE) and copper Kα.
Peak positions follow from Bragg's law for the DFT cell and can differ from measured ones.

Crystal structure
Unit cell a=7.7909 b=5.5975 c=7.7835 alpha=90.00 beta=100.51 gamma=90.00
Fractional positions:
Pr 0.1508 0.2259 0.3993
Pr 0.1508 0.2741 0.8993
Pr 0.8492 0.7259 0.1007
Pr 0.8492 0.7741 0.6007
Sb 0.3365 0.7326 0.1986
Sb 0.3365 0.7674 0.6986
Sb 0.6635 0.2326 0.3014
Sb 0.6635 0.2674 0.8014
O 0.1207 0.5243 0.1736
O 0.1207 0.9757 0.6736
O 0.1729 0.5022 0.6303
O 0.1729 0.9978 0.1303
O 0.3310 0.6408 0.9449
O 0.3310 0.8592 0.4449
O 0.4389 0.0891 0.7963
O 0.4389 0.4109 0.2963
O 0.5611 0.5891 0.7037
O 0.5611 0.9109 0.2037
O 0.6690 0.1408 0.5551
O 0.6690 0.3592 0.0551
O 0.8271 0.0022 0.8697
O 0.8271 0.4978 0.3697
O 0.8793 0.0243 0.3264
O 0.8793 0.4757 0.8264

Largest 10 diffraction maxima, sorted by position, 15° ≤ 2θ ≤ 90°:
two_theta	d [Å]	I_rel
23.23	3.829	13
28.24	3.160	100
28.90	3.089	21
31.98	2.799	17
44.30	2.045	9
46.80	1.941	10
48.97	1.860	13
50.36	1.812	10
54.02	1.698	9
54.73	1.677	14

No. 3
Diffraction record for CsPrZnTe3. The XRD peak list is computed, not measured: it uses DFT lattice parameters and positions (PBE) and copper Kα.
Peak positions follow from Bragg's law for the DFT cell and can differ from measured ones.

Crystal structure
Unit cell a=8.9636 b=8.9636 c=12.1174 alpha=90.00 beta=90.00 gamma=150.60
Fractional positions:
Cs 0.2465 0.7535 0.7500
Cs 0.7535 0.2465 0.2500
Pr 0.5000 0.5000 0.0000
Pr 0.5000 0.5000 0.5000
Zn 0.0350 0.9650 0.2500
Zn 0.9650 0.0350 0.7500
Te 0.1212 0.8788 0.0670
Te 0.1212 0.8788 0.4330
Te 0.4393 0.5607 0.2500
Te 0.5607 0.4393 0.7500
Te 0.8788 0.1212 0.5670
Te 0.8788 0.1212 0.9330

Largest 10 diffraction maxima, sorted by position, 15° ≤ 2θ ≤ 90°:
two_theta	d [Å]	I_rel
24.31	3.661	40
24.91	3.575	40
25.99	3.429	100
29.00	3.079	35
29.49	3.029	26
30.03	2.976	28
35.77	2.510	42
39.61	2.275	41
45.20	2.006	33
47.47	1.915	29

No. 4
Diffraction record for Co3N. The XRD peak list is computed, not measured: it uses DFT lattice parameters and positions (PBE) and copper Kα.
Peak positions follow from Bragg's law for the DFT cell and can differ from measured ones.

Crystal structure
Unit cell a=4.5499 b=4.5499 c=4.3318 alpha=90.00 beta=90.00 gamma=120.00
Fractional positions:
Co 0.0000 0.3261 0.0000
Co 0.0000 0.6739 0.5000
Co 0.3261 0.0000 0.0000
Co 0.3261 0.3261 0.5000
Co 0.6739 0.0000 0.5000
Co 0.6739 0.6739 0.0000
N 0.3333 0.6667 0.2500
N 0.6667 0.3333 0.7500

Largest 10 diffraction maxima, sorted by position, 15° ≤ 2θ ≤ 90°:
two_theta	d [Å]	I_rel
30.67	2.915	2
39.62	2.275	18
41.70	2.166	24
45.01	2.014	100
58.87	1.569	18
71.88	1.313	16
78.45	1.219	17
85.34	1.137	2
86.70	1.123	15
88.97	1.100	12

No. 5
Diffraction record for Eu7Cl2F12. The XRD peak list is computed, not measured: it uses DFT lattice parameters and positions (PBE) and copper Kα.
Peak positions follow from Bragg's law for the DFT cell and can differ from measured ones.

Crystal structure
Unit cell a=10.1002 b=10.1002 c=3.9446 alpha=90.00 beta=90.00 gamma=120.00
Fractional positions:
Eu 0.0000 0.0000 0.0000
Eu 0.1134 0.7118 0.5000
Eu 0.2882 0.4016 0.5000
Eu 0.4113 0.1109 0.0000
Eu 0.5984 0.8866 0.5000
Eu 0.6995 0.5887 0.0000
Eu 0.8891 0.3005 0.0000
Cl 0.3333 0.6667 0.0000
Cl 0.6667 0.3333 0.5000
F 0.0477 0.4360 0.5000
F 0.1192 0.2755 0.0000
F 0.1563 0.8808 0.0000
F 0.2166 0.1208 0.5000
F 0.3884 0.9523 0.5000
F 0.4303 0.3674 0.0000
F 0.5640 0.6116 0.5000
F 0.6326 0.0629 0.0000
F 0.7245 0.8437 0.0000
F 0.8792 0.0958 0.5000
F 0.9042 0.7834 0.5000
F 0.9371 0.5697 0.0000

Largest 10 diffraction maxima, sorted by position, 15° ≤ 2θ ≤ 90°:
two_theta	d [Å]	I_rel
24.76	3.596	27
26.97	3.306	100
28.72	3.109	52
30.52	2.929	39
35.43	2.534	38
43.81	2.066	34
47.60	1.910	49
51.07	1.789	31
54.15	1.694	30
68.40	1.372	19

No. 6
Diffraction record for Ni3Sn2. The XRD peak list is computed, not measured: it uses DFT lattice parameters and positions (PBE) and copper Kα.
Peak positions follow from Bragg's law for the DFT cell and can differ from measured ones.

Crystal structure
Unit cell a=7.1270 b=5.2176 c=8.2079 alpha=90.00 beta=90.00 gamma=90.00
Fractional positions:
Ni 0.0891 0.2500 0.1255
Ni 0.2366 0.5046 0.8764
Ni 0.2366 0.9954 0.8764
Ni 0.2634 0.0046 0.3764
Ni 0.2634 0.4954 0.3764
Ni 0.4109 0.7500 0.6255
Ni 0.5891 0.2500 0.3745
Ni 0.7366 0.5046 0.6236
Ni 0.7366 0.9954 0.6236
Ni 0.7634 0.0046 0.1236
Ni 0.7634 0.4954 0.1236
Ni 0.9109 0.7500 0.8745
Sn 0.0612 0.7500 0.5970
Sn 0.0984 0.7500 0.1426
Sn 0.4016 0.2500 0.6426
Sn 0.4388 0.2500 0.0970
Sn 0.5612 0.7500 0.9030
Sn 0.5984 0.7500 0.3574
Sn 0.9016 0.2500 0.8574
Sn 0.9388 0.2500 0.4030

Largest 10 diffraction maxima, sorted by position, 15° ≤ 2θ ≤ 90°:
two_theta	d [Å]	I_rel
30.40	2.940	69
34.38	2.609	13
42.99	2.104	100
44.07	2.055	99
57.05	1.614	14
59.12	1.563	12
63.26	1.470	26
72.47	1.304	11
80.26	1.196	16
88.86	1.101	27

No. 7
Diffraction record for Cs2Se. The XRD peak list is computed, not measured: it uses DFT lattice parameters and positions (PBE) and copper Kα.
Peak positions follow from Bragg's law for the DFT cell and can differ from measured ones.

Crystal structure
Unit cell a=6.4994 b=6.4994 c=8.7590 alpha=90.00 beta=90.00 gamma=130.66
Fractional positions:
Cs 0.0158 0.9842 0.5000
Cs 0.3077 0.6923 0.2815
Cs 0.6923 0.3077 0.7815
Cs 0.9842 0.0158 0.0000
Se 0.3795 0.6205 0.7194
Se 0.6205 0.3795 0.2194

Largest 10 diffraction maxima, sorted by position, 15° ≤ 2θ ≤ 90°:
two_theta	d [Å]	I_rel
20.67	4.297	25
25.32	3.518	55
27.24	3.274	100
28.00	3.187	77
29.83	2.995	24
31.98	2.798	15
33.02	2.713	34
42.04	2.149	35
46.79	1.942	15
50.58	1.805	21

No. 8
Diffraction record for Na2LaCeTi4O12. The XRD peak list is computed, not measured: it uses DFT lattice parameters and positions (PBE) and copper Kα.
Peak positions follow from Bragg's law for the DFT cell and can differ from measured ones.

Crystal structure
Unit cell a=5.4814 b=5.4814 c=9.5209 alpha=106.84 beta=106.84 gamma=60.22
Fractional positions:
Na 0.2498 0.2498 0.2488
Na 0.7502 0.7502 0.7512
La 0.5003 0.4997 0.0000
Ce 0.9991 0.0009 0.5000
Ti 0.1247 0.1271 0.8744
Ti 0.3739 0.3711 0.6234
Ti 0.6289 0.6261 0.3766
Ti 0.8729 0.8753 0.1256
O 0.0277 0.4740 0.0278
O 0.0322 0.4692 0.4699
O 0.0602 0.9398 0.0000
O 0.1913 0.3074 0.7485
O 0.2154 0.7841 0.2858
O 0.2159 0.7846 0.7142
O 0.5260 0.9723 0.9722
O 0.5308 0.9678 0.5301
O 0.5732 0.4268 0.5000
O 0.6926 0.8087 0.2515
O 0.7177 0.2819 0.2189
O 0.7181 0.2823 0.7811

Largest 10 diffraction maxima, sorted by position, 15° ≤ 2θ ≤ 90°:
two_theta	d [Å]	I_rel
19.81	4.482	100
32.57	2.749	81
32.68	2.740	87
38.43	2.342	44
40.20	2.243	20
46.81	1.941	64
58.16	1.586	55
58.39	1.580	16
68.23	1.375	16
68.48	1.370	18

No. 9
Diffraction record for LiMg6BO8. The XRD peak list is computed, not measured: it uses DFT lattice parameters and positions (PBE) and copper Kα.
Peak positions follow from Bragg's law for the DFT cell and can differ from measured ones.

Crystal structure
Unit cell a=4.1927 b=4.1927 c=8.3402 alpha=90.00 beta=90.00 gamma=90.00
Fractional positions:
Li 0.0000 0.0000 0.0000
Mg 0.0000 0.0000 0.5000
Mg 0.0000 0.5000 0.2284
Mg 0.0000 0.5000 0.7716
Mg 0.5000 0.0000 0.2284
Mg 0.5000 0.0000 0.7716
Mg 0.5000 0.5000 0.5000
B 0.5000 0.5000 0.0000
O 0.0000 0.0000 0.2585
O 0.0000 0.0000 0.7415
O 0.0000 0.5000 0.0000
O 0.0000 0.5000 0.5000
O 0.5000 0.0000 0.0000
O 0.5000 0.0000 0.5000
O 0.5000 0.5000 0.1842
O 0.5000 0.5000 0.8158

Largest 10 diffraction maxima, sorted by position, 15° ≤ 2θ ≤ 90°:
two_theta	d [Å]	I_rel
32.04	2.793	9
32.20	2.780	15
37.21	2.416	7
43.15	2.096	100
43.40	2.085	34
54.85	1.674	12
62.67	1.482	27
62.86	1.478	38
72.20	1.308	6
79.30	1.208	17

No. 10
Diffraction record for TbCo5. The XRD peak list is computed, not measured: it uses DFT lattice parameters and positions (PBE) and copper Kα.
Peak positions follow from Bragg's law for the DFT cell and can differ from measured ones.

Crystal structure
Unit cell a=4.9312 b=4.9312 c=3.9474 alpha=90.00 beta=90.00 gamma=120.00
Fractional positions:
Tb 0.0000 0.0000 0.0000
Co 0.0000 0.5000 0.5000
Co 0.3333 0.6667 0.0000
Co 0.5000 0.0000 0.5000
Co 0.5000 0.5000 0.5000
Co 0.6667 0.3333 0.0000

Largest 10 diffraction maxima, sorted by position, 15° ≤ 2θ ≤ 90°:
two_theta	d [Å]	I_rel
30.85	2.899	53
36.44	2.466	33
42.33	2.135	36
43.26	2.091	100
45.98	1.974	26
60.04	1.541	15
62.13	1.494	15
64.27	1.449	20
70.30	1.339	22
77.41	1.233	15

No. 11
Diffraction record for Cs4TlSbCl12. The XRD peak list is computed, not measured: it uses DFT lattice parameters and positions (PBE) and copper Kα.
Peak positions follow from Bragg's law for the DFT cell and can differ from measured ones.

Crystal structure
Unit cell a=7.6569 b=7.6569 c=10.6296 alpha=90.00 beta=90.00 gamma=90.00
Fractional positions:
Cs 0.0000 0.5000 0.2226
Cs 0.0000 0.5000 0.7774
Cs 0.5000 0.0000 0.2226
Cs 0.5000 0.0000 0.7774
Tl 0.0000 0.0000 0.0000
Sb 0.5000 0.5000 0.5000
Cl 0.0000 0.0000 0.2481
Cl 0.0000 0.0000 0.7519
Cl 0.2439 0.2439 0.0000
Cl 0.2439 0.7561 0.0000
Cl 0.2768 0.2768 0.5000
Cl 0.2768 0.7232 0.5000
Cl 0.5000 0.5000 0.2727
Cl 0.5000 0.5000 0.7273
Cl 0.7232 0.2768 0.5000
Cl 0.7232 0.7232 0.5000
Cl 0.7561 0.2439 0.0000
Cl 0.7561 0.7561 0.0000

Largest 10 diffraction maxima, sorted by position, 15° ≤ 2θ ≤ 90°:
two_theta	d [Å]	I_rel
23.23	3.828	56
23.46	3.793	100
27.36	3.259	28
28.74	3.106	49
33.09	2.707	74
33.73	2.657	29
40.96	2.203	45
47.50	1.914	25
47.97	1.896	39
59.52	1.553	20

No. 12
Diffraction record for RbAu3Se2. The XRD peak list is computed, not measured: it uses DFT lattice parameters and positions (PBE) and copper Kα.
Peak positions follow from Bragg's law for the DFT cell and can differ from measured ones.

Crystal structure
Unit cell a=6.2898 b=6.2898 c=5.6307 alpha=90.00 beta=90.00 gamma=120.00
Fractional positions:
Rb 0.0000 0.0000 0.0000
Au 0.0000 0.5000 0.5000
Au 0.5000 0.0000 0.5000
Au 0.5000 0.5000 0.5000
Se 0.3333 0.6667 0.8010
Se 0.6667 0.3333 0.1990

Largest 10 diffraction maxima, sorted by position, 15° ≤ 2θ ≤ 90°:
two_theta	d [Å]	I_rel
15.74	5.631	86
16.27	5.447	43
22.71	3.915	95
31.78	2.815	25
32.61	2.746	51
32.89	2.724	80
36.65	2.452	100
46.39	1.957	96
46.99	1.934	28
58.72	1.572	30